No. 1
The following is a calculated XRD peak list of Dy2In5Cl12. It was derived from DFT lattice parameters and positions (PBE), using a wavelength of 1.5418 Å.
Peak positions follow from Bragg's law for the DFT cell and can differ from measured ones.

Cell and atoms:
```
data_Dy2In5Cl12
_symmetry_space_group_name_H-M 'P 1'
_symmetry_Int_Tables_number 1
_cell_length_a 9.293
_cell_length_b 9.293
_cell_length_c 8.199
_cell_angle_alpha 114.88
_cell_angle_beta 114.88
_cell_angle_gamma 62.85
loop_
_symmetry_equiv_pos_as_xyz
'x,y,z'
loop_
_atom_site_label
_atom_site_type_symbol
_atom_site_fract_x
_atom_site_fract_y
_atom_site_fract_z
_atom_site_occupancy
Dy1 Dy 0.245 0.755 0.000 1
Dy2 Dy 0.755 0.245 0.000 1
In1 In 0.000 0.000 0.500 1
In2 In 0.275 0.275 0.052 1
In3 In 0.319 0.319 0.487 1
In4 In 0.681 0.681 0.513 1
In5 In 0.725 0.725 0.948 1
Cl1 Cl 0.088 0.698 0.169 1
Cl2 Cl 0.090 0.090 0.210 1
Cl3 Cl 0.131 0.499 0.734 1
Cl4 Cl 0.302 0.912 0.831 1
Cl5 Cl 0.486 0.486 0.184 1
Cl6 Cl 0.499 0.131 0.734 1
Cl7 Cl 0.501 0.869 0.266 1
Cl8 Cl 0.514 0.514 0.816 1
Cl9 Cl 0.698 0.088 0.169 1
Cl10 Cl 0.869 0.501 0.266 1
Cl11 Cl 0.910 0.910 0.790 1
Cl12 Cl 0.912 0.302 0.831 1
```

Main lines, by angle (10 to 80 degrees two-theta):
2θ = 12.41°, intensity 44
2θ = 19.35°, intensity 28
2θ = 21.39°, intensity 48
2θ = 22.18°, intensity 51
2θ = 22.39°, intensity 100
2θ = 25.59°, intensity 39
2θ = 28.53°, intensity 41
2θ = 28.69°, intensity 36
2θ = 37.11°, intensity 38
2θ = 38.44°, intensity 36
2θ = 39.40°, intensity 56
2θ = 43.22°, intensity 36

---

No. 2
The following is a calculated XRD peak list of DyIn3Cl6. It was derived from DFT lattice parameters and positions (PBE), using a wavelength of 1.5418 Å.
Peak positions follow from Bragg's law for the DFT cell and can differ from measured ones.

Cell and atoms:
```
data_DyIn3Cl6
_symmetry_space_group_name_H-M 'P 1'
_symmetry_Int_Tables_number 1
_cell_length_a 7.306
_cell_length_b 8.368
_cell_length_c 12.705
_cell_angle_alpha 90.00
_cell_angle_beta 121.61
_cell_angle_gamma 90.00
loop_
_symmetry_equiv_pos_as_xyz
'x,y,z'
loop_
_atom_site_label
_atom_site_type_symbol
_atom_site_fract_x
_atom_site_fract_y
_atom_site_fract_z
_atom_site_occupancy
Dy1 Dy 0.000 0.000 0.000 1
Dy2 Dy 0.000 0.500 0.500 1
In1 In 0.299 0.073 0.774 1
In2 In 0.299 0.427 0.274 1
In3 In 0.500 0.000 0.500 1
In4 In 0.500 0.500 0.000 1
In5 In 0.701 0.573 0.726 1
In6 In 0.701 0.927 0.226 1
Cl1 Cl 0.097 0.071 0.228 1
Cl2 Cl 0.097 0.429 0.728 1
Cl3 Cl 0.244 0.740 0.083 1
Cl4 Cl 0.244 0.760 0.583 1
Cl5 Cl 0.341 0.160 0.034 1
Cl6 Cl 0.341 0.340 0.534 1
Cl7 Cl 0.659 0.660 0.466 1
Cl8 Cl 0.659 0.840 0.966 1
Cl9 Cl 0.756 0.240 0.417 1
Cl10 Cl 0.756 0.260 0.917 1
Cl11 Cl 0.903 0.571 0.272 1
Cl12 Cl 0.903 0.929 0.772 1
```

Main lines, by angle (10 to 80 degrees two-theta):
2θ = 13.38°, intensity 29
2θ = 21.23°, intensity 45
2θ = 22.53°, intensity 100
2θ = 23.58°, intensity 97
2θ = 24.41°, intensity 40
2θ = 32.57°, intensity 51
2θ = 33.12°, intensity 34
2θ = 35.26°, intensity 21
2θ = 38.01°, intensity 19
2θ = 39.68°, intensity 28
2θ = 41.23°, intensity 35
2θ = 43.07°, intensity 34

---

No. 3
The following is a calculated XRD peak list of DyIn2Cl5. It was derived from DFT lattice parameters and positions (PBE), using a wavelength of 1.5418 Å.
Peak positions follow from Bragg's law for the DFT cell and can differ from measured ones.

Cell and atoms:
```
data_DyIn2Cl5
_symmetry_space_group_name_H-M 'P 1'
_symmetry_Int_Tables_number 1
_cell_length_a 12.756
_cell_length_b 8.460
_cell_length_c 8.626
_cell_angle_alpha 90.00
_cell_angle_beta 90.00
_cell_angle_gamma 90.00
loop_
_symmetry_equiv_pos_as_xyz
'x,y,z'
loop_
_atom_site_label
_atom_site_type_symbol
_atom_site_fract_x
_atom_site_fract_y
_atom_site_fract_z
_atom_site_occupancy
Dy1 Dy 0.006 0.250 0.075 1
Dy2 Dy 0.494 0.750 0.575 1
Dy3 Dy 0.506 0.250 0.425 1
Dy4 Dy 0.994 0.750 0.925 1
In1 In 0.168 0.014 0.599 1
In2 In 0.168 0.486 0.599 1
In3 In 0.332 0.514 0.099 1
In4 In 0.332 0.986 0.099 1
In5 In 0.668 0.014 0.901 1
In6 In 0.668 0.486 0.901 1
In7 In 0.832 0.514 0.401 1
In8 In 0.832 0.986 0.401 1
Cl1 Cl 0.003 0.250 0.397 1
Cl2 Cl 0.056 0.551 0.164 1
Cl3 Cl 0.056 0.949 0.164 1
Cl4 Cl 0.196 0.250 0.941 1
Cl5 Cl 0.199 0.750 0.861 1
Cl6 Cl 0.301 0.250 0.361 1
Cl7 Cl 0.304 0.750 0.441 1
Cl8 Cl 0.444 0.051 0.664 1
Cl9 Cl 0.444 0.449 0.664 1
Cl10 Cl 0.497 0.750 0.897 1
Cl11 Cl 0.503 0.250 0.103 1
Cl12 Cl 0.556 0.551 0.336 1
Cl13 Cl 0.556 0.949 0.336 1
Cl14 Cl 0.696 0.250 0.559 1
Cl15 Cl 0.699 0.750 0.639 1
Cl16 Cl 0.801 0.250 0.139 1
Cl17 Cl 0.804 0.750 0.059 1
Cl18 Cl 0.944 0.051 0.836 1
Cl19 Cl 0.944 0.449 0.836 1
Cl20 Cl 0.997 0.750 0.603 1
```

Main lines, by angle (10 to 80 degrees two-theta):
2θ = 12.39°, intensity 33
2θ = 21.75°, intensity 42
2θ = 23.32°, intensity 100
2θ = 24.45°, intensity 93
2θ = 25.26°, intensity 49
2θ = 29.87°, intensity 41
2θ = 30.42°, intensity 95
2θ = 32.84°, intensity 38
2θ = 35.24°, intensity 46
2θ = 35.86°, intensity 40
2θ = 42.52°, intensity 34
2θ = 42.72°, intensity 75

---

No. 4
The following is a calculated XRD peak list of Dy3IrCl3. It was derived from DFT lattice parameters and positions (PBE), using a wavelength of 1.5418 Å.
Peak positions follow from Bragg's law for the DFT cell and can differ from measured ones.

Cell and atoms:
```
data_Dy3IrCl3
_symmetry_space_group_name_H-M 'P 1'
_symmetry_Int_Tables_number 1
_cell_length_a 11.229
_cell_length_b 11.229
_cell_length_c 11.229
_cell_angle_alpha 35.59
_cell_angle_beta 35.59
_cell_angle_gamma 35.59
loop_
_symmetry_equiv_pos_as_xyz
'x,y,z'
loop_
_atom_site_label
_atom_site_type_symbol
_atom_site_fract_x
_atom_site_fract_y
_atom_site_fract_z
_atom_site_occupancy
Dy1 Dy 0.075 0.447 0.818 1
Dy2 Dy 0.182 0.925 0.553 1
Dy3 Dy 0.447 0.818 0.075 1
Dy4 Dy 0.553 0.182 0.925 1
Dy5 Dy 0.818 0.075 0.447 1
Dy6 Dy 0.925 0.553 0.182 1
Ir1 Ir 0.167 0.167 0.167 1
Ir2 Ir 0.833 0.833 0.833 1
Cl1 Cl 0.085 0.704 0.394 1
Cl2 Cl 0.296 0.606 0.915 1
Cl3 Cl 0.394 0.085 0.704 1
Cl4 Cl 0.606 0.915 0.296 1
Cl5 Cl 0.704 0.394 0.085 1
Cl6 Cl 0.915 0.296 0.606 1
```

Main lines, by angle (10 to 80 degrees two-theta):
2θ = 15.17°, intensity 20
2θ = 15.94°, intensity 17
2θ = 27.34°, intensity 33
2θ = 31.13°, intensity 100
2θ = 36.67°, intensity 32
2θ = 41.80°, intensity 10
2θ = 43.39°, intensity 38
2θ = 45.80°, intensity 29
2θ = 46.66°, intensity 16
2θ = 50.96°, intensity 13
2θ = 56.42°, intensity 14
2θ = 71.97°, intensity 14

---

No. 5
The following is a calculated XRD peak list of KDy2Cl7. It was derived from DFT lattice parameters and positions (PBE), using a wavelength of 1.5418 Å.
Peak positions follow from Bragg's law for the DFT cell and can differ from measured ones.

Cell and atoms:
```
data_KDy2Cl7
_symmetry_space_group_name_H-M 'P 1'
_symmetry_Int_Tables_number 1
_cell_length_a 8.036
_cell_length_b 8.036
_cell_length_c 5.284
_cell_angle_alpha 90.00
_cell_angle_beta 90.00
_cell_angle_gamma 116.17
loop_
_symmetry_equiv_pos_as_xyz
'x,y,z'
loop_
_atom_site_label
_atom_site_type_symbol
_atom_site_fract_x
_atom_site_fract_y
_atom_site_fract_z
_atom_site_occupancy
K1 K 0.000 0.000 0.000 1
Dy1 Dy 0.303 0.697 0.500 1
Dy2 Dy 0.697 0.303 0.500 1
Cl1 Cl 0.049 0.327 0.500 1
Cl2 Cl 0.294 0.706 0.000 1
Cl3 Cl 0.327 0.049 0.500 1
Cl4 Cl 0.500 0.500 0.500 1
Cl5 Cl 0.673 0.951 0.500 1
Cl6 Cl 0.706 0.294 0.000 1
Cl7 Cl 0.951 0.673 0.500 1
```

Main lines, by angle (10 to 80 degrees two-theta):
2θ = 12.98°, intensity 79
2θ = 16.78°, intensity 100
2θ = 20.89°, intensity 78
2θ = 21.27°, intensity 35
2θ = 22.17°, intensity 52
2θ = 24.69°, intensity 24
2θ = 33.93°, intensity 43
2θ = 34.52°, intensity 35
2θ = 37.40°, intensity 34
2θ = 38.62°, intensity 38
2θ = 49.19°, intensity 25
2θ = 51.38°, intensity 26

---

No. 6
The following is a calculated XRD peak list of KNaDy2Cl8. It was derived from DFT lattice parameters and positions (PBE), using a wavelength of 1.5418 Å.
Peak positions follow from Bragg's law for the DFT cell and can differ from measured ones.

Cell and atoms:
```
data_KNaDy2Cl8
_symmetry_space_group_name_H-M 'P 1'
_symmetry_Int_Tables_number 1
_cell_length_a 6.741
_cell_length_b 8.289
_cell_length_c 6.841
_cell_angle_alpha 90.00
_cell_angle_beta 94.16
_cell_angle_gamma 90.00
loop_
_symmetry_equiv_pos_as_xyz
'x,y,z'
loop_
_atom_site_label
_atom_site_type_symbol
_atom_site_fract_x
_atom_site_fract_y
_atom_site_fract_z
_atom_site_occupancy
K1 K 0.000 0.000 0.000 1
Na1 Na 0.000 0.500 0.000 1
Dy1 Dy 0.500 0.254 0.500 1
Dy2 Dy 0.500 0.746 0.500 1
Cl1 Cl 0.229 0.269 0.212 1
Cl2 Cl 0.229 0.731 0.212 1
Cl3 Cl 0.312 0.500 0.670 1
Cl4 Cl 0.317 0.000 0.662 1
Cl5 Cl 0.683 0.000 0.338 1
Cl6 Cl 0.688 0.500 0.330 1
Cl7 Cl 0.771 0.269 0.788 1
Cl8 Cl 0.771 0.731 0.788 1
```

Main lines, by angle (10 to 80 degrees two-theta):
2θ = 12.97°, intensity 85
2θ = 13.17°, intensity 83
2θ = 17.84°, intensity 100
2θ = 19.19°, intensity 66
2θ = 25.14°, intensity 33
2θ = 25.24°, intensity 41
2θ = 28.03°, intensity 78
2θ = 35.91°, intensity 39
2θ = 36.13°, intensity 65
2θ = 38.95°, intensity 27
2θ = 45.49°, intensity 32
2θ = 46.04°, intensity 27

---

No. 7
The following is a calculated XRD peak list of KDyPb2Cl8. It was derived from DFT lattice parameters and positions (PBE), using a wavelength of 1.5418 Å.
Peak positions follow from Bragg's law for the DFT cell and can differ from measured ones.

Cell and atoms:
```
data_KDyPb2Cl8
_symmetry_space_group_name_H-M 'P 1'
_symmetry_Int_Tables_number 1
_cell_length_a 6.567
_cell_length_b 8.885
_cell_length_c 6.832
_cell_angle_alpha 90.00
_cell_angle_beta 90.88
_cell_angle_gamma 90.00
loop_
_symmetry_equiv_pos_as_xyz
'x,y,z'
loop_
_atom_site_label
_atom_site_type_symbol
_atom_site_fract_x
_atom_site_fract_y
_atom_site_fract_z
_atom_site_occupancy
K1 K 0.000 0.000 0.000 1
Dy1 Dy 0.000 0.500 0.000 1
Pb1 Pb 0.500 0.249 0.500 1
Pb2 Pb 0.500 0.751 0.500 1
Cl1 Cl 0.226 0.284 0.160 1
Cl2 Cl 0.226 0.716 0.160 1
Cl3 Cl 0.245 0.500 0.689 1
Cl4 Cl 0.279 0.000 0.642 1
Cl5 Cl 0.721 0.000 0.358 1
Cl6 Cl 0.755 0.500 0.311 1
Cl7 Cl 0.774 0.284 0.840 1
Cl8 Cl 0.774 0.716 0.840 1
```

Main lines, by angle (10 to 80 degrees two-theta):
2θ = 18.60°, intensity 100
2θ = 18.89°, intensity 98
2θ = 23.89°, intensity 59
2θ = 24.19°, intensity 91
2θ = 26.09°, intensity 26
2θ = 27.43°, intensity 40
2θ = 35.71°, intensity 39
2θ = 36.03°, intensity 38
2θ = 36.33°, intensity 51
2θ = 36.64°, intensity 54
2θ = 40.62°, intensity 25
2θ = 44.72°, intensity 39

---

No. 8
The following is a calculated XRD peak list of Li3DyCl6. It was derived from DFT lattice parameters and positions (PBE), using a wavelength of 1.5418 Å.
Peak positions follow from Bragg's law for the DFT cell and can differ from measured ones.

Cell and atoms:
```
data_Li3DyCl6
_symmetry_space_group_name_H-M 'P 1'
_symmetry_Int_Tables_number 1
_cell_length_a 7.800
_cell_length_b 7.800
_cell_length_c 7.800
_cell_angle_alpha 91.60
_cell_angle_beta 91.60
_cell_angle_gamma 91.60
loop_
_symmetry_equiv_pos_as_xyz
'x,y,z'
loop_
_atom_site_label
_atom_site_type_symbol
_atom_site_fract_x
_atom_site_fract_y
_atom_site_fract_z
_atom_site_occupancy
Li1 Li 0.060 0.574 0.746 1
Li2 Li 0.254 0.940 0.426 1
Li3 Li 0.426 0.254 0.940 1
Li4 Li 0.574 0.746 0.060 1
Li5 Li 0.746 0.060 0.574 1
Li6 Li 0.940 0.426 0.254 1
Dy1 Dy 0.000 0.000 0.000 1
Dy2 Dy 0.500 0.500 0.500 1
Cl1 Cl 0.054 0.887 0.684 1
Cl2 Cl 0.113 0.316 0.946 1
Cl3 Cl 0.186 0.579 0.403 1
Cl4 Cl 0.316 0.946 0.113 1
Cl5 Cl 0.403 0.186 0.579 1
Cl6 Cl 0.421 0.597 0.814 1
Cl7 Cl 0.579 0.403 0.186 1
Cl8 Cl 0.597 0.814 0.421 1
Cl9 Cl 0.684 0.054 0.887 1
Cl10 Cl 0.814 0.421 0.597 1
Cl11 Cl 0.887 0.684 0.054 1
Cl12 Cl 0.946 0.113 0.316 1
```

Main lines, by angle (10 to 80 degrees two-theta):
2θ = 15.85°, intensity 94
2θ = 16.31°, intensity 100
2θ = 22.82°, intensity 55
2θ = 27.91°, intensity 83
2θ = 32.97°, intensity 22
2θ = 36.13°, intensity 44
2θ = 36.78°, intensity 64
2θ = 42.78°, intensity 44
2θ = 42.97°, intensity 17
2θ = 43.54°, intensity 23
2θ = 44.47°, intensity 19
2θ = 53.16°, intensity 18